Entry 1:
Starting from a structure optimized by DFT (PBE), the X-ray powder pattern of Tm4P6Ir7 was calculated for CuKα.
Kinematic intensities with the Lorentz-polarization factor, no thermal factor.

Structure:
```
data_Tm4P6Ir7
_cell_length_a 8.1693
_cell_length_b 8.1693
_cell_length_c 8.1693
_cell_angle_alpha 90.00
_cell_angle_beta 90.00
_cell_angle_gamma 90.00
_symmetry_space_group_name_H-M 'I m -3 m'
_symmetry_Int_Tables_number 229
_symmetry_space_group_name_Hall '-I 4 2 3'
loop_
_atom_site_label
_atom_site_type_symbol
_atom_site_fract_x
_atom_site_fract_y
_atom_site_fract_z
_atom_site_occupancy
Tm1 Tm 0.2500 0.2500 0.2500 1
P1 P 0.0000 0.0000 0.3219 1
Ir1 Ir 0.0000 0.0000 0.0000 1
Ir2 Ir 0.0000 0.2500 0.5000 1
```

Main lines, most intense first (10° ≤ 2θ ≤ 80°):
2θ (°)  Rel. int.  hkl
38.16  100  2 2 2
44.35  73  4 0 0
26.73  56  2 1 1
41.35  51  3 2 1
64.53  45  4 4 0
77.51  35  6 2 2
30.96  19  2 2 0
52.54  17  3 3 2
71.14  15  6 1 1
15.34  15  1 1 0

Entry 2:
Starting from a structure optimized by DFT (PBE), the X-ray powder pattern of Y3P5Ir6 was calculated for CuKα.
Kinematic intensities with the Lorentz-polarization factor, no thermal factor.

Structure:
```
data_Y3P5Ir6
_cell_length_a 3.8437
_cell_length_b 12.2092
_cell_length_c 9.8843
_cell_angle_alpha 90.00
_cell_angle_beta 90.00
_cell_angle_gamma 90.00
_symmetry_space_group_name_H-M 'P m m n'
_symmetry_Int_Tables_number 59
loop_
_symmetry_equiv_pos_as_xyz
'x,y,z'
'-x,-y,-z'
'-x+1/2,-y+1/2,z'
'x+1/2,y+1/2,-z'
'x+1/2,-y,-z'
'-x+1/2,y,z'
'-x,y+1/2,-z'
'x,-y+1/2,z'
loop_
_atom_site_label
_atom_site_type_symbol
_atom_site_fract_x
_atom_site_fract_y
_atom_site_fract_z
_atom_site_occupancy
Y1 Y 0.2500 0.0980 0.2391 1
Y2 Y 0.2500 0.7500 0.2702 1
P1 P 0.2500 0.0791 0.8390 1
P2 P 0.2500 0.6311 0.5347 1
P3 P 0.2500 0.7500 0.8802 1
Ir1 Ir 0.2500 0.0509 0.6069 1
Ir2 Ir 0.2500 0.2500 0.4797 1
Ir3 Ir 0.2500 0.2500 0.9791 1
Ir4 Ir 0.2500 0.5824 0.0254 1
```

Main lines, most intense first (10° ≤ 2θ ≤ 80°):
2θ (°)  Rel. int.  hkl
36.95  100  1 3 2
17.95  51  0 0 2
33.32  38  1 3 1
32.97  33  1 2 2
47.30  32  2 0 0
35.04  31  0 3 3
49.22  27  1 3 4
44.53  23  0 6 0
44.93  17  1 5 1
65.81  16  1 3 6

Entry 3:
Starting from a structure optimized by DFT (PBE), the X-ray powder pattern of Pa4Ir was calculated for CuKα.
Kinematic intensities with the Lorentz-polarization factor, no thermal factor.

Structure:
```
data_Pa4Ir
_cell_length_a 11.0894
_cell_length_b 12.8993
_cell_length_c 6.7674
_cell_angle_alpha 90.00
_cell_angle_beta 90.00
_cell_angle_gamma 90.00
_symmetry_space_group_name_H-M 'F d d 2'
_symmetry_Int_Tables_number 43
_symmetry_space_group_name_Hall 'F 2 -2d'
loop_
_atom_site_label
_atom_site_type_symbol
_atom_site_fract_x
_atom_site_fract_y
_atom_site_fract_z
_atom_site_occupancy
Pa1 Pa 0.0831 0.3922 0.0000 1
Pa2 Pa 0.0952 0.3063 0.5053 1
Ir1 Ir 0.0000 0.0000 0.8883 1
```

Main lines, most intense first (10° ≤ 2θ ≤ 80°):
2θ (°)  Rel. int.  hkl
34.01  100  2 2 2
38.21  69  1 5 1
34.64  67  3 3 1
35.24  36  4 2 0
30.96  31  2 0 2
56.76  20  6 0 2
52.07  19  1 7 1
46.18  17  1 3 3
29.82  15  0 2 2
28.37  15  3 1 1

Entry 4:
Starting from a structure optimized by DFT (PBE), the X-ray powder pattern of Pa5Ir was calculated for CuKα.
Kinematic intensities with the Lorentz-polarization factor, no thermal factor.

Structure:
```
data_Pa5Ir
_cell_length_a 4.1496
_cell_length_b 15.9239
_cell_length_c 4.1355
_cell_angle_alpha 90.00
_cell_angle_beta 90.00
_cell_angle_gamma 90.00
_symmetry_space_group_name_H-M 'C m m m'
_symmetry_Int_Tables_number 65
_symmetry_space_group_name_Hall '-C 2 2'
loop_
_atom_site_label
_atom_site_type_symbol
_atom_site_fract_x
_atom_site_fract_y
_atom_site_fract_z
_atom_site_occupancy
Pa1 Pa 0.0000 0.0000 0.0000 1
Pa2 Pa 0.0000 0.1640 0.5000 1
Pa3 Pa 0.0000 0.3292 0.0000 1
Ir1 Ir 0.0000 0.5000 0.5000 1
```

Main lines, most intense first (10° ≤ 2θ ≤ 80°):
2θ (°)  Rel. int.  hkl
34.99  100  1 3 1
33.77  27  0 6 0
61.20  20  1 9 1
43.62  14  2 0 0
43.78  14  0 0 2
56.28  13  2 6 0
56.41  13  0 6 2
73.91  12  2 6 2
74.51  12  3 3 1
74.74  12  1 3 3

Entry 5:
Starting from a structure optimized by DFT (PBE), the X-ray powder pattern of Pa2IrPd was calculated for CuKα.
Kinematic intensities with the Lorentz-polarization factor, no thermal factor.

Structure:
```
data_Pa2IrPd
_cell_length_a 4.4171
_cell_length_b 4.4171
_cell_length_c 4.1564
_cell_angle_alpha 90.00
_cell_angle_beta 90.00
_cell_angle_gamma 90.00
_symmetry_space_group_name_H-M 'P 4/m m m'
_symmetry_Int_Tables_number 123
_symmetry_space_group_name_Hall '-P 4 2'
loop_
_atom_site_label
_atom_site_type_symbol
_atom_site_fract_x
_atom_site_fract_y
_atom_site_fract_z
_atom_site_occupancy
Pa1 Pa 0.0000 0.5000 0.0000 1
Ir1 Ir 0.0000 0.0000 0.5000 1
Pd1 Pd 0.5000 0.5000 0.5000 1
```

Main lines, most intense first (10° ≤ 2θ ≤ 80°):
2θ (°)  Rel. int.  hkl
35.97  100  1 1 1
40.86  35  2 0 0
71.22  28  3 1 1
61.24  22  2 0 2
43.55  15  0 0 2
74.99  12  1 1 3
59.16  12  2 2 0
76.27  12  2 2 2
28.58  4  1 1 0
21.38  4  0 0 1

Entry 6:
Starting from a structure optimized by DFT (PBE), the X-ray powder pattern of PaIrPdPt was calculated for CuKα.
Kinematic intensities with the Lorentz-polarization factor, no thermal factor.

Structure:
```
data_PaIrPdPt
_cell_length_a 4.0612
_cell_length_b 4.0661
_cell_length_c 4.2704
_cell_angle_alpha 90.00
_cell_angle_beta 90.00
_cell_angle_gamma 90.00
_symmetry_space_group_name_H-M 'P m m m'
_symmetry_Int_Tables_number 47
_symmetry_space_group_name_Hall '-P 2 2'
loop_
_atom_site_label
_atom_site_type_symbol
_atom_site_fract_x
_atom_site_fract_y
_atom_site_fract_z
_atom_site_occupancy
Pa1 Pa 0.0000 0.0000 0.0000 1
Ir1 Ir 0.5000 0.5000 0.0000 1
Pd1 Pd 0.0000 0.5000 0.5000 1
Pt1 Pt 0.5000 0.0000 0.5000 1
```

Main lines, most intense first (10° ≤ 2θ ≤ 80°):
2θ (°)  Rel. int.  hkl
37.73  100  1 1 1
44.60  31  2 0 0
77.58  25  3 1 1
63.17  23  2 0 2
42.33  18  0 0 2
74.37  14  1 1 3
64.90  10  2 2 0
21.86  3  0 1 0
30.37  3  1 0 1
20.80  3  0 0 1